# Pa5Se
Computed powder diffraction line list, Cu Kα (λ = 1.5418 Å). Input: a cell relaxed with PBE.

Structure:
Cell: 7.2573 7.2573 4.4382 Å, 90.00 90.00 143.24°
Fractional positions:
Pa1 0.0000 0.0000 0.0000
Pa2 0.1586 0.8414 0.5000
Pa3 0.3390 0.6610 0.0000
Pa4 0.6610 0.3390 0.0000
Pa5 0.8414 0.1586 0.5000
Se1 0.5000 0.5000 0.5000

Most intense lines, 2θ from 10° to 90°, in order of rising 2θ:
34.3 deg, intensity 100; 39.2 deg, intensity 17; 39.4 deg, intensity 17; 40.7 deg, intensity 16; 57.8 deg, intensity 23; 67.9 deg, intensity 13; 68.1 deg, intensity 15; 69.9 deg, intensity 13

# PaSe4
Computed powder diffraction line list, Cu Kα (λ = 1.5418 Å). Input: a cell relaxed with PBE.

Structure:
Cell: 5.4819 5.4819 5.4819 Å, 90.00 90.00 90.00°
Fractional positions:
Pa1 0.0000 0.0000 0.0000
Se1 0.0000 0.0000 0.5000
Se2 0.0000 0.5000 0.0000
Se3 0.5000 0.0000 0.0000
Se4 0.5000 0.5000 0.5000

Most intense lines, 2θ from 10° to 90°, in order of rising 2θ:
16.2 deg, intensity 92; 22.9 deg, intensity 82; 32.7 deg, intensity 100; 36.7 deg, intensity 51; 40.3 deg, intensity 39; 46.9 deg, intensity 73; 49.9 deg, intensity 27; 77.9 deg, intensity 33

# Pa3Se7
Computed powder diffraction line list, Cu Kα (λ = 1.5418 Å). Input: a cell relaxed with PBE.

Structure:
Cell: 8.6633 8.6633 8.6633 Å, 109.47 109.47 109.47°
Fractional positions:
Pa1 0.0000 0.3215 0.3215
Pa2 0.0000 0.6785 0.6785
Pa3 0.3215 0.0000 0.3215
Pa4 0.3215 0.3215 0.0000
Pa5 0.6785 0.0000 0.6785
Pa6 0.6785 0.6785 0.0000
Se1 0.0000 0.0000 0.3367
Se2 0.0000 0.0000 0.6633
Se3 0.0000 0.3367 0.0000
Se4 0.0000 0.6633 0.0000
Se5 0.2500 0.5000 0.7500
Se6 0.2500 0.7500 0.5000
Se7 0.3367 0.0000 0.0000
Se8 0.3367 0.3367 0.3367
Se9 0.5000 0.2500 0.7500
Se10 0.5000 0.7500 0.2500
Se11 0.6633 0.0000 0.0000
Se12 0.6633 0.6633 0.6633
Se13 0.7500 0.2500 0.5000
Se14 0.7500 0.5000 0.2500

Most intense lines, 2θ from 10° to 90°, in order of rising 2θ:
21.8 deg, intensity 67; 31.0 deg, intensity 54; 38.2 deg, intensity 100; 44.4 deg, intensity 25; 49.9 deg, intensity 25; 55.1 deg, intensity 20; 59.9 deg, intensity 20; 69.0 deg, intensity 46

# PaSiSe4
Computed powder diffraction line list, Cu Kα (λ = 1.5418 Å). Input: a cell relaxed with PBE.

Structure:
Cell: 6.7501 6.7501 7.5042 Å, 90.00 90.00 90.00°
Fractional positions:
Pa1 0.0000 0.0000 0.0000
Pa2 0.0000 0.0000 0.5000
Si1 0.0000 0.5000 0.2500
Si2 0.5000 0.0000 0.7500
Se1 0.2433 0.2447 0.7917
Se2 0.2433 0.7553 0.7083
Se3 0.2447 0.2433 0.2917
Se4 0.2447 0.7567 0.2083
Se5 0.7553 0.2433 0.2083
Se6 0.7553 0.7567 0.2917
Se7 0.7567 0.2447 0.7083
Se8 0.7567 0.7553 0.7917

Most intense lines, 2θ from 10° to 90°, in order of rising 2θ:
13.1 deg, intensity 100; 18.6 deg, intensity 31; 27.2 deg, intensity 31; 29.6 deg, intensity 24; 30.3 deg, intensity 46; 35.8 deg, intensity 73; 37.7 deg, intensity 46; 38.3 deg, intensity 31